Simulated PXRD pattern
Compound: Ba2ThS6
Radiation: Cu Ka
Structure: DFT lattice parameters and positions (PBE)

Most intense lines, 10° ≤ 2θ ≤ 90°, low angle first:
10.93°, intensity 34
22.66°, intensity 95
22.99°, intensity 100
32.00°, intensity 52
32.26°, intensity 58
33.20°, intensity 21
39.99°, intensity 86
40.58°, intensity 23
46.08°, intensity 27
46.97°, intensity 19
52.28°, intensity 18
62.78°, intensity 31

```
data_Ba2ThS6
_chemical_formula_sum 'Ba4 Th2 S12'
_symmetry_space_group_name_H-M 'P 1'
_symmetry_Int_Tables_number 1
_cell_length_a 5.549
_cell_length_b 5.549
_cell_length_c 16.189
_cell_angle_alpha 90.00
_cell_angle_beta 90.00
_cell_angle_gamma 90.00
loop_
_symmetry_equiv_pos_as_xyz
'x,y,z'
loop_
_atom_site_label
_atom_site_type_symbol
_atom_site_fract_x
_atom_site_fract_y
_atom_site_fract_z
Ba1 Ba 0.250 0.750 0.113
Ba2 Ba 0.250 0.750 0.387
Ba3 Ba 0.750 0.250 0.613
Ba4 Ba 0.750 0.250 0.887
Th1 Th 0.250 0.750 0.750
Th2 Th 0.750 0.250 0.250
S1 S 0.062 0.750 0.582
S2 S 0.250 0.250 0.224
S3 S 0.250 0.250 0.724
S4 S 0.250 0.562 0.918
S5 S 0.250 0.938 0.918
S6 S 0.438 0.750 0.582
S7 S 0.562 0.250 0.418
S8 S 0.750 0.062 0.082
S9 S 0.750 0.438 0.082
S10 S 0.750 0.750 0.276
S11 S 0.750 0.750 0.776
S12 S 0.938 0.250 0.418
```

=====

Simulated PXRD pattern
Compound: Ba6Na16N
Radiation: Cu Ka
Structure: DFT lattice parameters and positions (PBE)

Most intense lines, 10° ≤ 2θ ≤ 90°, low angle first:
10.08°, intensity 100
22.66°, intensity 17
24.86°, intensity 80
26.88°, intensity 84
28.78°, intensity 42
30.57°, intensity 54
33.88°, intensity 28
36.94°, intensity 24
41.15°, intensity 26
47.49°, intensity 30
48.67°, intensity 39
58.57°, intensity 27

```
data_Ba6Na16N
_chemical_formula_sum 'Ba6 Na16 N1'
_symmetry_space_group_name_H-M 'P 1'
_symmetry_Int_Tables_number 1
_cell_length_a 10.746
_cell_length_b 10.746
_cell_length_c 10.746
_cell_angle_alpha 109.47
_cell_angle_beta 109.47
_cell_angle_gamma 109.47
loop_
_symmetry_equiv_pos_as_xyz
'x,y,z'
loop_
_atom_site_label
_atom_site_type_symbol
_atom_site_fract_x
_atom_site_fract_y
_atom_site_fract_z
Ba1 Ba 0.000 0.229 0.229
Ba2 Ba 0.000 0.771 0.771
Ba3 Ba 0.229 0.000 0.229
Ba4 Ba 0.229 0.229 0.000
Ba5 Ba 0.771 0.000 0.771
Ba6 Ba 0.771 0.771 0.000
Na1 Na 0.000 0.000 0.500
Na2 Na 0.000 0.348 0.652
Na3 Na 0.000 0.500 0.000
Na4 Na 0.000 0.652 0.348
Na5 Na 0.305 0.652 0.652
Na6 Na 0.348 0.000 0.652
Na7 Na 0.348 0.348 0.695
Na8 Na 0.348 0.652 0.000
Na9 Na 0.348 0.695 0.348
Na10 Na 0.500 0.000 0.000
Na11 Na 0.500 0.500 0.500
Na12 Na 0.652 0.000 0.348
Na13 Na 0.652 0.305 0.652
Na14 Na 0.652 0.348 0.000
Na15 Na 0.652 0.652 0.305
Na16 Na 0.695 0.348 0.348
N1 N 0.000 0.000 0.000
```